This entry pairs a crystal structure of La3Sm6Sc with its theoretical X-ray powder pattern. Radiation: Cu Kα (weighted mean of Kα1 and Kα2). Structure: a crystal structure in Alexandria, relaxed with GGA-PBE.

Main lines, by angle (2θ from 10° to 80°):
3.389 Å, I = 17.4
3.030 Å, I = 100.0
2.871 Å, I = 34.0
2.798 Å, I = 52.8
2.674 Å, I = 22.4
2.396 Å, I = 16.3
1.750 Å, I = 20.7
1.591 Å, I = 16.3

Structure:
abc: 10.495 10.495 6.339
angles: 90.00 90.00 99.48
Atoms (fractional coordinates):
La 0.143 0.857 0.500
La 0.221 0.371 0.148
La 0.371 0.221 0.648
La 0.629 0.779 0.148
La 0.779 0.629 0.648
La 0.857 0.143 0.000
Sm 0.060 0.175 0.511
Sm 0.078 0.486 0.684
Sm 0.175 0.060 0.011
Sm 0.245 0.755 0.989
Sm 0.442 0.558 0.844
Sm 0.486 0.078 0.184
Sm 0.514 0.922 0.684
Sm 0.558 0.442 0.344
Sm 0.755 0.245 0.489
Sm 0.825 0.940 0.511
Sm 0.922 0.514 0.184
Sm 0.940 0.825 0.011
Sc 0.351 0.649 0.409
Sc 0.649 0.351 0.909

This entry pairs a crystal structure of La12Sm5Sc2 with its theoretical X-ray powder pattern. Radiation: Cu Kα (weighted mean of Kα1 and Kα2). Structure: a crystal structure in Alexandria, relaxed with GGA-PBE.

Main lines, by angle (2θ from 10° to 80°):
3.143 Å, I = 44.2
3.085 Å, I = 75.6
3.057 Å, I = 32.6
2.949 Å, I = 31.9
2.915 Å, I = 100.0
2.843 Å, I = 44.3
1.636 Å, I = 25.3
1.570 Å, I = 27.4

Structure:
abc: 10.309 10.309 9.730
angles: 113.97 113.97 45.64
Atoms (fractional coordinates):
La 0.015 0.015 0.179
La 0.080 0.619 0.146
La 0.086 0.605 0.535
La 0.381 0.920 0.854
La 0.395 0.914 0.465
La 0.480 0.480 0.324
La 0.520 0.520 0.676
La 0.605 0.086 0.535
La 0.619 0.080 0.146
La 0.914 0.395 0.465
La 0.920 0.381 0.854
La 0.985 0.985 0.821
Sm 0.000 0.000 0.500
Sm 0.206 0.206 0.202
Sm 0.311 0.311 0.812
Sm 0.689 0.689 0.188
Sm 0.794 0.794 0.798
Sc 0.326 0.674 0.000
Sc 0.674 0.326 0.000

This entry pairs a crystal structure of LaSmSc with its theoretical X-ray powder pattern. Radiation: Cu Kα (weighted mean of Kα1 and Kα2). Structure: a crystal structure in Alexandria, relaxed with GGA-PBE.

Main lines, by angle (2θ from 10° to 80°):
3.536 Å, I = 64.7
2.996 Å, I = 54.1
2.894 Å, I = 100.0
2.866 Å, I = 47.9
2.775 Å, I = 29.7
2.286 Å, I = 36.3
2.241 Å, I = 34.6
2.226 Å, I = 33.9

Structure:
abc: 3.536 12.099 8.952
angles: 90.00 90.00 90.00
Atoms (fractional coordinates):
La 0.000 0.165 0.000
La 0.000 0.318 0.650
La 0.000 0.682 0.150
La 0.000 0.835 0.500
Sm 0.000 0.125 0.376
Sm 0.000 0.447 0.989
Sm 0.000 0.553 0.489
Sm 0.000 0.875 0.876
Sc 0.500 0.059 0.681
Sc 0.500 0.358 0.294
Sc 0.500 0.642 0.794
Sc 0.500 0.941 0.181

This entry pairs a crystal structure of La2Sm2Sc with its theoretical X-ray powder pattern. Radiation: Cu Kα (weighted mean of Kα1 and Kα2). Structure: a crystal structure in Alexandria, relaxed with GGA-PBE.

Main lines, by angle (2θ from 10° to 80°):
4.204 Å, I = 24.5
3.139 Å, I = 31.6
2.965 Å, I = 69.7
2.944 Å, I = 46.1
2.932 Å, I = 34.2
2.906 Å, I = 38.0
2.891 Å, I = 100.0
2.651 Å, I = 55.0

Structure:
abc: 6.329 6.329 9.358
angles: 110.49 110.49 82.88
Atoms (fractional coordinates):
La 0.057 0.711 0.846
La 0.289 0.943 0.654
La 0.711 0.057 0.346
La 0.943 0.289 0.154
Sm 0.292 0.377 0.531
Sm 0.377 0.292 0.031
Sm 0.623 0.708 0.969
Sm 0.708 0.623 0.469
Sc 0.198 0.802 0.250
Sc 0.802 0.198 0.750

This entry pairs a crystal structure of La8Sm2Sc3 with its theoretical X-ray powder pattern. Radiation: Cu Kα (weighted mean of Kα1 and Kα2). Structure: a crystal structure in Alexandria, relaxed with GGA-PBE.

Main lines, by angle (2θ from 10° to 80°):
3.054 Å, I = 22.0
2.941 Å, I = 56.3
2.882 Å, I = 37.1
2.852 Å, I = 100.0
2.792 Å, I = 30.1
2.369 Å, I = 18.2
2.318 Å, I = 21.5
1.680 Å, I = 19.7

Structure:
abc: 8.887 8.887 6.007
angles: 105.63 105.63 82.89
Atoms (fractional coordinates):
La 0.058 0.058 0.284
La 0.105 0.587 0.860
La 0.361 0.361 0.406
La 0.413 0.895 0.140
La 0.587 0.105 0.860
La 0.639 0.639 0.594
La 0.895 0.413 0.140
La 0.942 0.942 0.716
Sm 0.200 0.200 0.840
Sm 0.800 0.800 0.160
Sc 0.243 0.757 0.500
Sc 0.500 0.500 0.000
Sc 0.757 0.243 0.500

This entry pairs a crystal structure of La6Sm2TmSc with its theoretical X-ray powder pattern. Radiation: Cu Kα (weighted mean of Kα1 and Kα2). Structure: a crystal structure in Alexandria, relaxed with GGA-PBE.

Main lines, by angle (2θ from 10° to 80°):
3.262 Å, I = 29.9
2.992 Å, I = 29.8
2.957 Å, I = 100.0
2.865 Å, I = 23.3
2.836 Å, I = 19.8
2.716 Å, I = 58.2
2.707 Å, I = 49.3
2.686 Å, I = 27.3

Structure:
abc: 6.801 6.801 8.814
angles: 102.90 102.90 62.67
Atoms (fractional coordinates):
La 0.088 0.581 0.207
La 0.126 0.126 0.398
La 0.419 0.912 0.793
La 0.581 0.088 0.207
La 0.874 0.874 0.602
La 0.912 0.419 0.793
Sm 0.405 0.405 0.830
Sm 0.595 0.595 0.170
Tm 0.500 0.500 0.500
Sc 0.000 0.000 0.000

This entry pairs a crystal structure of La2SmTm4Sc with its theoretical X-ray powder pattern. Radiation: Cu Kα (weighted mean of Kα1 and Kα2). Structure: a crystal structure in Alexandria, relaxed with GGA-PBE.

Main lines, by angle (2θ from 10° to 80°):
3.271 Å, I = 61.5
2.938 Å, I = 45.3
2.921 Å, I = 100.0
2.186 Å, I = 38.0
2.179 Å, I = 79.0
1.693 Å, I = 16.5
1.504 Å, I = 21.4
1.428 Å, I = 26.8

Structure:
abc: 9.417 9.417 9.417
angles: 138.09 102.79 91.97
Atoms (fractional coordinates):
La 0.000 0.000 0.000
La 0.500 0.000 0.000
La 0.500 0.000 0.500
La 0.500 0.500 0.500
Sm 0.000 0.500 0.500
Sm 0.500 0.500 0.000
Tm 0.231 0.750 0.482
Tm 0.232 0.250 0.982
Tm 0.235 0.237 0.502
Tm 0.235 0.734 0.998
Tm 0.765 0.266 0.002
Tm 0.765 0.763 0.498
Tm 0.768 0.750 0.018
Tm 0.769 0.250 0.518
Sc 0.000 0.000 0.500
Sc 0.000 0.500 0.000

This entry pairs a crystal structure of LaScTa with its theoretical X-ray powder pattern. Radiation: Cu Kα (weighted mean of Kα1 and Kα2). Structure: a crystal structure in Alexandria, relaxed with GGA-PBE.

Main lines, by angle (2θ from 10° to 80°):
5.198 Å, I = 15.1
3.550 Å, I = 29.2
2.670 Å, I = 59.5
2.553 Å, I = 100.0
1.888 Å, I = 21.4
1.518 Å, I = 40.0
1.453 Å, I = 15.1
1.277 Å, I = 9.8

Structure:
abc: 3.777 3.777 10.395
angles: 90.00 90.00 90.00
Atoms (fractional coordinates):
La 0.000 0.000 0.000
La 0.500 0.500 0.500
Sc 0.000 0.000 0.694
Sc 0.500 0.500 0.194
Ta 0.000 0.000 0.324
Ta 0.500 0.500 0.824